Entry 1:
This entry pairs a crystal structure of PmAg2Br8 with its calculated powder diffraction line list. Radiation: Cu Kα X-rays. Structure: a structure optimized by DFT (GGA-PBE).

Cell and atoms:
abc: 7.4009 7.4009 12.7214
angles: 90.00 90.00 90.00
Space group I422 (No. 97)
Unique sites:
1 Pm 0.0000 0.0000 0.0000
2 Ag 0.0000 0.5000 0.2500
3 Br 0.1774 0.3128 0.8880

Main lines, in order of falling intensity (2θ from 10° to 90°):
| two_theta | intensity | index |
| --- | --- | --- |
| 37.28 | 100 | 2 0 4 |
| 27.86 | 79 | 2 1 1 |
| 21.99 | 79 | 1 1 2 |
| 34.37 | 69 | 2 1 3 |
| 13.84 | 47 | 1 0 1 |
| 34.27 | 43 | 2 2 0 |

=====

Entry 2:
This entry pairs a crystal structure of Pr3AgBr3 with its calculated powder diffraction line list. Radiation: Cu Kα X-rays. Structure: a structure optimized by DFT (GGA-PBE).

Cell and atoms:
abc: 17.3113 17.3113 10.5715
angles: 90.00 90.00 120.00
Space group R32 (No. 155, hexagonal axes)
Unique sites:
1 Pr 0.0000 0.2555 0.0000
2 Pr 0.0000 0.4945 0.0000
3 Pr 0.0796 0.1648 0.6596
4 Ag 0.0000 0.0000 0.5000
5 Ag 0.0000 0.2500 0.5000
6 Br 0.0000 0.5067 0.5000
7 Br 0.0000 0.7434 0.5000
8 Br 0.0789 0.9145 0.1576

Main lines, in order of falling intensity (2θ from 10° to 90°):
| two_theta | intensity | index |
| --- | --- | --- |
| 29.21 | 100 | 0 4 2 |
| 41.78 | 74 | 4 4 0 |
| 10.23 | 29 | 1 1 0 |
| 51.76 | 19 | 8 0 2 |
| 76.24 | 18 | 12 0 0 |
| 68.58 | 16 | 4 8 2 |

=====

Entry 3:
This entry pairs a crystal structure of Rb2PrAg2Br6 with its calculated powder diffraction line list. Radiation: Cu Kα X-rays. Structure: a structure optimized by DFT (GGA-PBE).

Cell and atoms:
abc: 13.4773 8.4612 8.8957
angles: 90.00 119.56 90.00
Space group C2/m (No. 12)
Unique sites:
1 Rb 0.2162 0.0000 0.1580
2 Pr 0.0000 0.0000 0.5000
3 Ag 0.0494 0.5000 0.1758
4 Br 0.0661 0.2350 0.7778
5 Br 0.2321 0.0000 0.5548

Main lines, in order of falling intensity (2θ from 10° to 90°):
| two_theta | intensity | index |
| --- | --- | --- |
| 22.91 | 100 | 1 1 -2 |
| 22.41 | 99 | 3 1 -1 |
| 31.39 | 64 | 2 2 1 |
| 14.57 | 59 | 1 1 -1 |
| 25.17 | 55 | 2 2 -1 |
| 39.49 | 53 | 4 2 -3 |

=====

Entry 4:
This entry pairs a crystal structure of Pr6AgRu2Br3 with its calculated powder diffraction line list. Radiation: Cu Kα X-rays. Structure: a structure optimized by DFT (GGA-PBE).

Cell and atoms:
abc: 7.2720 12.6011 8.3041
angles: 90.00 106.91 90.00
Space group C2/m (No. 12)
Unique sites:
1 Pr 0.2057 0.0000 0.2001
2 Pr 0.2469 0.3198 0.2007
3 Ag 0.0000 0.5000 0.0000
4 Ru 0.0000 0.1666 0.0000
5 Br 0.0000 0.0000 0.5000
6 Br 0.0000 0.3317 0.5000

Main lines, in order of falling intensity (2θ from 10° to 90°):
| two_theta | intensity | index |
| --- | --- | --- |
| 28.76 | 100 | 2 0 -2 |
| 43.08 | 34 | 0 6 0 |
| 39.09 | 21 | 1 3 -3 |
| 11.14 | 19 | 0 0 1 |
| 52.62 | 17 | 2 6 -2 |
| 70.28 | 12 | 5 3 -3 |

=====

Entry 5:
This entry pairs a crystal structure of PuAg3Br7 with its calculated powder diffraction line list. Radiation: Cu Kα X-rays. Structure: a structure optimized by DFT (GGA-PBE).

Cell and atoms:
abc: 12.6137 8.8079 7.4325
angles: 90.00 100.77 90.00
Space group Cm (No. 8)
Unique sites:
1 Pu 0.0000 0.0000 0.0000
2 Ag 0.0211 0.2300 0.4198
3 Ag 0.3456 0.0000 0.7560
4 Br 0.0099 0.5000 0.5687
5 Br 0.1148 0.0000 0.6974
6 Br 0.1397 0.2252 0.1566
7 Br 0.3490 0.2944 0.8269
8 Br 0.3815 0.5000 0.2909

Main lines, in order of falling intensity (2θ from 10° to 90°):
| two_theta | intensity | index |
| --- | --- | --- |
| 12.33 | 100 | 1 1 0 |
| 18.24 | 91 | 1 1 1 |
| 28.88 | 90 | 2 2 1 |
| 25.91 | 80 | 2 0 -2 |
| 14.30 | 79 | 2 0 0 |
| 40.96 | 71 | 0 4 0 |

=====

Entry 6:
This entry pairs a crystal structure of Rb4Ag3Br12 with its calculated powder diffraction line list. Radiation: Cu Kα X-rays. Structure: a structure optimized by DFT (GGA-PBE).

Cell and atoms:
abc: 12.0899 12.0899 12.0899
angles: 90.00 90.00 90.00
Space group Im-3 (No. 204)
Unique sites:
1 Rb 0.2500 0.2500 0.2500
2 Ag 0.0000 0.0000 0.5000
3 Br 0.0000 0.3519 0.1477

Main lines, in order of falling intensity (2θ from 10° to 90°):
| two_theta | intensity | index |
| --- | --- | --- |
| 23.27 | 100 | 3 0 1 |
| 36.41 | 89 | 4 2 2 |
| 20.78 | 68 | 2 2 0 |
| 10.35 | 63 | 1 1 0 |
| 37.95 | 45 | 4 3 1 |
| 17.97 | 38 | 2 1 1 |

=====

Entry 7:
This entry pairs a crystal structure of RbAg4Br8 with its calculated powder diffraction line list. Radiation: Cu Kα X-rays. Structure: a structure optimized by DFT (GGA-PBE).

Cell and atoms:
abc: 8.0962 8.0962 25.1969
angles: 90.00 90.00 120.00
Space group R-3m (No. 166, hexagonal axes)
Unique sites:
1 Rb 0.0000 0.0000 0.0000
2 Ag 0.0000 0.0000 0.5000
3 Ag 0.0000 0.5000 0.5000
4 Br 0.0000 0.0000 0.2261
5 Br 0.0010 0.5005 0.7714

Main lines, in order of falling intensity (2θ from 10° to 90°):
| two_theta | intensity | index |
| --- | --- | --- |
| 10.53 | 100 | 0 0 3 |
| 29.15 | 86 | 0 2 4 |
| 35.75 | 34 | 0 2 7 |
| 44.78 | 31 | 2 2 0 |
| 38.42 | 24 | 2 0 8 |
| 47.41 | 19 | 2 0 11 |

=====

Entry 8:
This entry pairs a crystal structure of RbAg3Br8 with its calculated powder diffraction line list. Radiation: Cu Kα X-rays. Structure: a structure optimized by DFT (GGA-PBE).

Cell and atoms:
abc: 6.9909 6.9909 8.8932
angles: 90.00 90.00 120.00
Space group P-3 (No. 147)
Unique sites:
1 Rb 0.0000 0.0000 0.0000
2 Ag 0.0000 0.0000 0.5000
3 Ag 0.3333 0.6667 0.7322
4 Br 0.0330 0.3218 0.3220
5 Br 0.3333 0.6667 0.0285

Main lines, in order of falling intensity (2θ from 10° to 90°):
| two_theta | intensity | index |
| --- | --- | --- |
| 27.42 | 100 | 2 -1 1 |
| 44.92 | 71 | 3 0 0 |
| 32.58 | 64 | 1 1 2 |
| 48.53 | 56 | 2 -1 4 |
| 17.72 | 49 | 0 1 1 |
| 25.48 | 44 | 1 1 0 |